Theoretical powder diffraction line list
Compound: Li2MnP2O7
Radiation: Cu Kα, 1.54184 Å
Structure: a GGA+U-relaxed structure
Intensities are scaled so that the largest is 100.

Principal peaks in the range 5° ≤ 2θ ≤ 70°, in order of rising 2θ:
| hkl | two_theta | intensity |
| --- | --- | --- |
| 2 0 0 | 12.5 | 86.8 |
| 1 1 -1 | 20.3 | 29.2 |
| 1 1 1 | 23.0 | 26.8 |
| 4 0 -2 | 25.4 | 13.7 |
| 3 1 0 | 25.9 | 24.1 |
| 1 1 -2 | 26.7 | 100.0 |
| 3 1 -2 | 28.3 | 17.9 |
| 1 1 2 | 30.8 | 12.9 |
| 5 1 -1 | 33.9 | 14.0 |
| 4 2 0 | 44.2 | 13.0 |

Atomic structure:
```
data_Li2MnP2O7
_cell_length_a 15.6002
_cell_length_b 5.0209
_cell_length_c 9.0261
_cell_angle_alpha 90.00
_cell_angle_beta 114.76
_cell_angle_gamma 90.00
_symmetry_space_group_name_H-M 'C 1 2/c 1'
_symmetry_Int_Tables_number 15
loop_
_symmetry_equiv_pos_as_xyz
'x,y,z'
'-x,-y,-z'
'-x,y,-z+1/2'
'x,-y,z+1/2'
'x+1/2,y+1/2,z'
'-x+1/2,-y+1/2,-z'
'-x+1/2,y+1/2,-z+1/2'
'x+1/2,-y+1/2,z+1/2'
loop_
_atom_site_label
_atom_site_fract_x
_atom_site_fract_y
_atom_site_fract_z
Li1 0.1910 0.1419 0.0527
Mn1 0.0000 0.0000 0.0000
P1 0.1037 0.3696 0.3140
O1 0.0000 0.4786 0.7500
O2 0.1035 0.1575 0.4371
O3 0.1076 0.2388 0.1625
O4 0.1761 0.4130 0.8862
```